HfCrAgS4: simulated powder diffraction line list (copper Kα), based on a GGA-PBE-relaxed structure.
Kinematic intensities with the Lorentz-polarization factor, no thermal factor.

Structure:
```
HfCrAgS4
1.0
6.132 0.000 0.000
0.010 7.115 0.000
0.047 0.039 13.292
Hf Cr Ag S
4 4 4 16
direct
0.000 0.000 0.000
0.000 0.499 0.000
0.002 0.515 0.497
0.502 0.234 0.503
0.499 0.752 0.496
0.501 0.250 0.996
0.501 0.750 0.003
0.998 0.998 0.499
0.163 0.250 0.753
0.481 0.246 0.254
0.525 0.754 0.749
0.850 0.748 0.246
0.161 0.242 0.394
0.174 0.766 0.393
0.175 0.749 0.109
0.180 0.249 0.107
0.318 0.986 0.606
0.341 0.507 0.607
0.348 0.001 0.894
0.348 0.499 0.894
0.652 0.499 0.105
0.652 0.999 0.105
0.657 0.507 0.391
0.678 0.988 0.392
0.819 0.762 0.601
0.823 0.750 0.894
0.825 0.250 0.891
0.845 0.241 0.607
```

Most intense lines, 2θ = 5–70°, most intense first:
40.0 deg, I 100.0; 13.3 deg, I 89.3; 20.2 deg, I 57.3; 51.6 deg, I 51.0; 32.0 deg, I 50.5; 29.0 deg, I 42.5; 28.5 deg, I 39.4; 26.8 deg, I 36.3; 32.1 deg, I 33.2; 40.1 deg, I 27.0; 39.8 deg, I 26.1; 51.4 deg, I 25.9

HfCrAgS4: simulated powder diffraction line list (copper Kα), based on a GGA-PBE-relaxed structure.
Kinematic intensities with the Lorentz-polarization factor, no thermal factor.

Structure:
```
HfCrAgS4
1.0
-3.716 3.768 5.155
3.716 -3.768 5.155
3.716 3.768 -5.155
Hf Cr Ag S
2 2 2 8
direct
0.250 0.259 0.009
0.750 0.241 0.491
0.748 0.250 0.998
0.752 0.750 0.502
0.142 0.892 0.250
0.358 0.608 0.750
0.507 0.028 0.012
0.516 0.495 0.488
0.535 0.497 0.040
0.544 0.003 0.538
0.956 0.495 0.460
0.965 0.005 0.962
0.984 0.472 0.979
0.993 0.005 0.521
```

Most intense lines, 2θ = 5–70°, most intense first:
27.9 deg, I 100.0; 28.6 deg, I 72.0; 49.4 deg, I 69.8; 14.7 deg, I 49.5; 23.9 deg, I 34.4; 44.6 deg, I 34.3; 24.1 deg, I 32.0; 33.9 deg, I 29.7; 28.1 deg, I 29.6; 45.6 deg, I 19.6; 49.0 deg, I 18.8; 48.3 deg, I 18.1

HfCrAgS4: simulated powder diffraction line list (copper Kα), based on a GGA-PBE-relaxed structure.
Kinematic intensities with the Lorentz-polarization factor, no thermal factor.

Structure:
```
HfCrAgS4
1.0
3.595 0.000 0.000
0.000 11.345 0.000
0.000 0.000 13.195
Hf Cr Ag S
4 4 4 16
direct
0.000 0.178 0.000
0.000 0.203 0.526
0.500 0.797 0.026
0.500 0.822 0.500
0.000 0.658 0.317
0.000 0.688 0.802
0.500 0.312 0.302
0.500 0.342 0.817
0.000 0.506 0.602
0.000 0.997 0.745
0.500 0.003 0.245
0.500 0.494 0.102
0.000 0.169 0.335
0.000 0.295 0.702
0.000 0.381 0.934
0.000 0.450 0.262
0.000 0.651 0.980
0.000 0.773 0.626
0.000 0.866 0.369
0.000 0.953 0.065
0.500 0.047 0.565
0.500 0.134 0.869
0.500 0.227 0.126
0.500 0.349 0.480
0.500 0.550 0.762
0.500 0.619 0.434
0.500 0.705 0.202
0.500 0.831 0.835
```

Most intense lines, 2θ = 5–70°, most intense first:
29.4 deg, I 100.0; 27.2 deg, I 95.2; 20.7 deg, I 66.1; 33.1 deg, I 42.8; 49.4 deg, I 40.3; 13.4 deg, I 38.5; 37.9 deg, I 37.1; 27.0 deg, I 36.9; 41.1 deg, I 34.4; 40.5 deg, I 33.7; 50.8 deg, I 32.8; 40.4 deg, I 30.3

HfCrAgS4: simulated powder diffraction line list (copper Kα), based on a GGA-PBE-relaxed structure.
Kinematic intensities with the Lorentz-polarization factor, no thermal factor.

Structure:
```
HfCrAgS4
1.0
6.100 0.000 0.000
0.000 3.611 0.000
-0.268 0.000 12.929
Hf Cr Ag S
2 2 2 8
direct
0.013 0.000 0.247
0.987 0.000 0.753
0.486 0.500 0.255
0.514 0.500 0.745
0.000 0.000 0.500
0.500 0.500 0.000
0.166 0.500 0.133
0.175 0.500 0.642
0.347 0.000 0.362
0.359 0.000 0.850
0.641 0.000 0.150
0.653 0.000 0.638
0.825 0.500 0.358
0.834 0.500 0.867
```

Most intense lines, 2θ = 5–70°, most intense first:
40.0 deg, I 100.0; 28.7 deg, I 90.1; 13.7 deg, I 77.3; 40.5 deg, I 65.4; 51.6 deg, I 49.6; 29.3 deg, I 48.2; 41.1 deg, I 44.6; 31.8 deg, I 42.2; 16.2 deg, I 37.4; 14.5 deg, I 36.7; 27.6 deg, I 32.6; 25.6 deg, I 32.3

HfCrAgS4: simulated powder diffraction line list (copper Kα), based on a GGA-PBE-relaxed structure.
Kinematic intensities with the Lorentz-polarization factor, no thermal factor.

Structure:
```
HfCrAgS4
1.0
6.632 0.000 0.000
0.004 7.758 0.000
1.120 1.795 12.532
Hf Cr Ag S
4 4 4 16
direct
0.000 0.000 0.000
0.092 0.177 0.305
0.384 0.595 0.702
0.602 0.453 0.298
0.482 0.778 0.001
0.614 0.939 0.293
0.872 0.845 0.707
0.878 0.335 0.707
0.114 0.696 0.299
0.355 0.091 0.700
0.501 0.264 0.997
0.983 0.523 0.998
0.006 0.107 0.640
0.034 0.603 0.648
0.101 0.225 0.118
0.159 0.747 0.100
0.339 0.024 0.902
0.361 0.565 0.890
0.436 0.169 0.366
0.448 0.683 0.379
0.573 0.359 0.637
0.573 0.856 0.631
0.613 0.513 0.109
0.640 0.961 0.111
0.810 0.811 0.888
0.867 0.283 0.882
0.904 0.923 0.383
0.923 0.417 0.377
```

Most intense lines, 2θ = 5–70°, most intense first:
21.3 deg, I 100.0; 33.0 deg, I 55.3; 47.3 deg, I 47.0; 28.6 deg, I 40.5; 28.2 deg, I 38.2; 28.4 deg, I 37.8; 7.1 deg, I 36.3; 41.4 deg, I 35.9; 27.0 deg, I 32.6; 26.7 deg, I 29.4; 32.7 deg, I 28.1; 46.8 deg, I 26.4

HfCrAgS4: simulated powder diffraction line list (copper Kα), based on a GGA-PBE-relaxed structure.
Kinematic intensities with the Lorentz-polarization factor, no thermal factor.

Structure:
```
HfCrAgS4
1.0
11.918 0.000 0.000
0.000 7.173 0.000
0.000 0.000 12.924
Hf Cr Ag S
8 8 8 32
direct
0.113 0.101 0.000
0.119 0.629 0.645
0.381 0.629 0.145
0.387 0.101 0.500
0.613 0.899 0.000
0.619 0.371 0.645
0.881 0.371 0.145
0.887 0.899 0.500
0.127 0.865 0.330
0.162 0.373 0.253
0.338 0.373 0.753
0.373 0.865 0.830
0.627 0.135 0.330
0.662 0.627 0.253
0.838 0.627 0.753
0.873 0.135 0.830
0.107 0.624 0.984
0.115 0.115 0.634
0.385 0.115 0.134
0.393 0.624 0.484
0.607 0.376 0.984
0.615 0.885 0.634
0.885 0.885 0.134
0.893 0.376 0.484
0.024 0.604 0.208
0.032 0.106 0.438
0.034 0.138 0.191
0.038 0.653 0.460
0.228 0.625 0.815
0.229 0.120 0.833
0.232 0.865 0.089
0.239 0.375 0.089
0.261 0.375 0.589
0.268 0.865 0.589
0.271 0.120 0.333
0.272 0.625 0.315
0.462 0.653 0.960
0.466 0.138 0.691
0.468 0.106 0.938
0.476 0.604 0.708
0.524 0.396 0.208
0.532 0.894 0.438
0.534 0.862 0.191
0.538 0.347 0.460
0.728 0.375 0.815
0.729 0.880 0.833
0.732 0.135 0.089
0.739 0.625 0.089
0.761 0.625 0.589
0.768 0.135 0.589
0.771 0.880 0.333
0.772 0.375 0.315
0.962 0.347 0.960
0.966 0.862 0.691
0.968 0.894 0.938
0.976 0.396 0.708
```

Most intense lines, 2θ = 5–70°, most intense first:
25.5 deg, I 100.0; 50.6 deg, I 50.8; 36.5 deg, I 48.3; 13.7 deg, I 41.7; 33.7 deg, I 39.3; 34.4 deg, I 32.3; 25.9 deg, I 29.2; 43.8 deg, I 27.0; 33.4 deg, I 24.8; 37.9 deg, I 21.4; 50.0 deg, I 19.2; 50.9 deg, I 18.7